(1)
Starting from a crystal structure in the Materials Project, relaxed with GGA+U, the powder diffraction line list of Li9Mn2Co5O16 was simulated for Cu Kα.
Neutral-atom scattering factors, no anomalous dispersion.

Largest 8 diffraction maxima, in order of falling intensity, 2θ = 5–70°:
2θ (°)	I (rel.)	hkl
18.35	100	0 1 -2
41.27	34	1 0 5
43.90	28	1 1 -5
45.09	25	0 3 2
34.37	20	1 1 3
5.73	15	0 0 1
36.12	13	1 0 -3
36.94	11	0 2 4

Atomic structure:
Cell: 3.0164 6.4099 15.4638 Å, 88.82 86.59 76.64°
Space group P1 (No. 1)
Symmetry-distinct sites (fractional):
Li 0.0000 0.0000 0.0000 [1 per cell]
Li 0.0514 0.8859 0.1872 [1 per cell]
Li 0.1090 0.7668 0.3731 [1 per cell]
Li 0.2405 0.5072 0.7489 [1 per cell]
Li 0.3699 0.2568 0.1272 [1 per cell]
Li 0.4872 0.0074 0.4978 [1 per cell]
Li 0.6145 0.7641 0.8750 [1 per cell]
Li 0.7334 0.5137 0.2474 [1 per cell]
Li 0.8618 0.2656 0.6230 [1 per cell]
Mn 0.2937 0.3873 0.9388 [1 per cell]
Mn 0.5599 0.8859 0.6846 [1 per cell]
Co 0.1704 0.6321 0.5597 [1 per cell]
Co 0.4321 0.1284 0.3060 [1 per cell]
Co 0.6790 0.6460 0.0684 [1 per cell]
Co 0.8023 0.3815 0.4359 [1 per cell]
Co 0.9264 0.1360 0.8118 [1 per cell]
O 0.0045 0.9312 0.5923 [1 per cell]
O 0.1172 0.8384 0.7789 [1 per cell]
O 0.1245 0.6839 0.9726 [1 per cell]
O 0.2336 0.5792 0.1475 [1 per cell]
O 0.2956 0.4229 0.3442 [1 per cell]
O 0.3040 0.3387 0.5256 [1 per cell]
O 0.4247 0.1847 0.7208 [1 per cell]
O 0.4273 0.0888 0.9023 [1 per cell]
O 0.5311 0.9197 0.0882 [1 per cell]
O 0.5724 0.8532 0.2860 [1 per cell]
O 0.6117 0.6792 0.4703 [1 per cell]
O 0.7353 0.5851 0.6499 [1 per cell]
O 0.7392 0.4338 0.8441 [1 per cell]
O 0.8446 0.3468 0.0314 [1 per cell]
O 0.8768 0.1922 0.2259 [1 per cell]
O 0.9843 0.0903 0.4017 [1 per cell]

=====

(2)
Starting from a crystal structure in the Materials Project, relaxed with GGA+U, the powder diffraction line list of Rb3Zn3Mo4O16 was simulated for Cu Kα.
Neutral-atom scattering factors, no anomalous dispersion.

Largest 8 diffraction maxima, in order of falling intensity, 2θ = 5–70°:
2θ (°)	I (rel.)	hkl
27.36	100	3 2 1
40.50	21	5 2 1
32.83	16	4 2 0
59.68	16	6 5 1
50.76	12	6 3 1
51.93	11	4 4 4
54.22	8	6 4 0
67.86	7	7 5 2

Atomic structure:
Cell: 12.1986 12.1986 12.1986 Å, 90.00 90.00 90.00°
Space group I-43d (No. 220)
Symmetry-distinct sites (fractional):
Rb 0.0000 0.2500 0.3750 [12 per cell]
Zn 0.0000 0.2500 0.8750 [12 per cell]
Mo 0.1075 0.1075 0.1075 [16 per cell]
O 0.0293 0.3983 0.1699 [48 per cell]
O 0.0593 0.4407 0.5593 [16 per cell]

=====

(3)
Starting from a crystal structure in the Materials Project, relaxed with GGA+U, the powder diffraction line list of Li9Mn2Co5O16 was simulated for Cu Kα.
Neutral-atom scattering factors, no anomalous dispersion.

Largest 8 diffraction maxima, in order of falling intensity, 2θ = 5–70°:
2θ (°)	I (rel.)	hkl
18.47	100	1 0 -1
41.93	31	2 -2 0
44.67	25	2 2 0
44.85	25	0 0 4
63.06	22	2 -2 4
34.84	17	1 -2 1
36.75	12	1 2 1
36.90	12	1 0 3

Atomic structure:
Cell: 5.9099 5.9285 8.0856 Å, 90.85 90.89 93.43°
Space group P-1 (No. 2)
Symmetry-distinct sites (fractional):
Li 0.0000 0.0000 0.0000 [1 per cell]
Li 0.0000 0.0000 0.5000 [1 per cell]
Li 0.0000 0.5000 0.0000 [1 per cell]
Li 0.2439 0.7574 0.2552 [2 per cell]
Li 0.2445 0.2411 0.2587 [2 per cell]
Li 0.5000 0.0000 0.5000 [1 per cell]
Li 0.5000 0.5000 0.5000 [1 per cell]
Mn 0.0000 0.5000 0.5000 [1 per cell]
Mn 0.5000 0.0000 0.0000 [1 per cell]
Co 0.2419 0.7597 0.7474 [2 per cell]
Co 0.2470 0.2474 0.7485 [2 per cell]
Co 0.5000 0.5000 0.0000 [1 per cell]
O 0.0017 0.5211 0.7398 [2 per cell]
O 0.0192 0.0179 0.7509 [2 per cell]
O 0.2281 0.2748 0.5141 [2 per cell]
O 0.2435 0.7377 0.5137 [2 per cell]
O 0.2602 0.7617 0.9888 [2 per cell]
O 0.2816 0.2357 0.9919 [2 per cell]
O 0.4804 0.4866 0.7675 [2 per cell]
O 0.4961 0.9848 0.7607 [2 per cell]

=====

(4)
Starting from a crystal structure in the Materials Project, relaxed with GGA+U, the powder diffraction line list of LiVSiO4 was simulated for Cu Kα.
Neutral-atom scattering factors, no anomalous dispersion.

Largest 8 diffraction maxima, in order of falling intensity, 2θ = 5–70°:
2θ (°)	I (rel.)	hkl
36.43	100	1 3 1
24.39	61	2 0 1
15.29	47	1 1 0
37.04	44	1 1 3
27.04	39	1 1 2
65.04	29	0 4 4
65.16	29	4 0 4
64.29	28	4 4 0

Atomic structure:
Cell: 8.1827 8.2096 8.0181 Å, 90.00 90.00 90.00°
Space group C222_1 (No. 20)
Symmetry-distinct sites (fractional):
Li 0.1066 0.1069 0.1255 [8 per cell]
V 0.1368 0.3633 0.3753 [8 per cell]
Si 0.0000 0.2572 0.7500 [4 per cell]
Si 0.2428 0.5000 0.0000 [4 per cell]
O 0.1162 0.3772 0.6249 [8 per cell]
O 0.1193 0.1412 0.8651 [8 per cell]
O 0.1216 0.3841 0.1251 [8 per cell]
O 0.1415 0.1189 0.3851 [8 per cell]

=====

(5)
Starting from a crystal structure in the Materials Project, relaxed with GGA+U, the powder diffraction line list of BaHoCo2O6 was simulated for Cu Kα.
Neutral-atom scattering factors, no anomalous dispersion.

Largest 8 diffraction maxima, in order of falling intensity, 2θ = 5–70°:
2θ (°)	I (rel.)	hkl
32.70	100	1 0 2
33.18	48	1 1 0
58.97	37	2 1 2
47.62	30	2 0 0
40.54	25	1 1 2
58.07	22	1 1 4
68.53	17	2 0 4
46.22	15	0 0 4

Atomic structure:
Cell: 3.8189 3.8189 7.8573 Å, 90.00 90.00 90.00°
Space group P4/mmm (No. 123)
Symmetry-distinct sites (fractional):
Ba 0.0000 0.0000 0.0000 [1 per cell]
Ho 0.0000 0.0000 0.5000 [1 per cell]
Co 0.5000 0.5000 0.2562 [2 per cell]
O 0.0000 0.5000 0.2888 [4 per cell]
O 0.5000 0.5000 0.0000 [1 per cell]
O 0.5000 0.5000 0.5000 [1 per cell]

=====

(6)
Starting from a crystal structure in the Materials Project, relaxed with GGA+U, the powder diffraction line list of Li3V2Fe3O10 was simulated for Cu Kα.
Neutral-atom scattering factors, no anomalous dispersion.

Largest 8 diffraction maxima, in order of falling intensity, 2θ = 5–70°:
2θ (°)	I (rel.)	hkl
18.20	100	1 0 0
12.08	88	0 0 1
40.21	65	1 1 -2
43.65	58	2 1 3
44.19	49	-1 2 1
26.70	41	0 1 2
18.03	38	0 1 0
22.37	22	1 1 1

Atomic structure:
Cell: 5.1433 5.1818 7.8682 Å, 73.71 73.29 77.57°
Space group P-1 (No. 2)
Symmetry-distinct sites (fractional):
Li 0.0000 0.0000 0.0000 [1 per cell]
Li 0.4825 0.7043 0.1062 [2 per cell]
V 0.0188 0.3819 0.1883 [2 per cell]
Fe 0.0344 0.1906 0.5984 [2 per cell]
Fe 0.5000 0.5000 0.5000 [1 per cell]
O 0.1952 0.0438 0.1708 [2 per cell]
O 0.2118 0.6111 0.9775 [2 per cell]
O 0.2144 0.8226 0.5600 [2 per cell]
O 0.2323 0.4579 0.3583 [2 per cell]
O 0.2510 0.3023 0.7310 [2 per cell]

=====

(7)
Starting from a crystal structure in the Materials Project, relaxed with GGA+U, the powder diffraction line list of Li3V5O12 was simulated for Cu Kα.
Neutral-atom scattering factors, no anomalous dispersion.

Largest 8 diffraction maxima, in order of falling intensity, 2θ = 5–70°:
2θ (°)	I (rel.)	hkl
20.55	100	0 1 -1
20.85	97	1 0 -1
39.46	61	1 1 2
29.21	58	-1 1 2
45.40	55	1 -2 3
28.60	52	1 -1 2
46.45	44	-2 1 3
52.23	24	2 1 1

Atomic structure:
Cell: 5.0354 5.0701 9.1657 Å, 94.18 92.17 112.45°
Space group P1 (No. 1)
Symmetry-distinct sites (fractional):
Li 0.0000 0.0000 0.0000 [1 per cell]
Li 0.1800 0.4716 0.3084 [1 per cell]
Li 0.4045 0.7934 0.0650 [1 per cell]
V 0.2561 0.9136 0.5580 [1 per cell]
V 0.3417 0.3859 0.8208 [1 per cell]
V 0.7440 0.4052 0.0530 [1 per cell]
V 0.8391 0.8580 0.2934 [1 per cell]
V 0.8928 0.2925 0.5815 [1 per cell]
O 0.0440 0.4049 0.9517 [1 per cell]
O 0.0470 0.0616 0.7017 [1 per cell]
O 0.0694 0.7655 0.1782 [1 per cell]
O 0.1122 0.1498 0.4332 [1 per cell]
O 0.2253 0.5986 0.6780 [1 per cell]
O 0.4098 0.1298 0.9614 [1 per cell]
O 0.5354 0.5500 0.2109 [1 per cell]
O 0.5643 0.9340 0.4576 [1 per cell]
O 0.5884 0.2814 0.6784 [1 per cell]
O 0.6445 0.6622 0.9263 [1 per cell]
O 0.7987 0.1227 0.1856 [1 per cell]
O 0.9436 0.6115 0.4492 [1 per cell]

=====

> Which formula does entry 2 have?

Rb3Zn3Mo4O16